For Rb2NaMg2Cl7, a cell relaxed with PBE gives the simulated powder diffraction line list in this record (copper Kα).

Cell and atoms:
Cell lengths 13.548, 13.548, 13.548 Å; angles 158.62, 158.62, 30.41 degrees
Fractional positions:
1 Rb 0.181 0.181 0.000
2 Rb 0.819 0.819 0.000
3 Na 0.000 0.000 0.000
4 Mg 0.404 0.404 0.000
5 Mg 0.596 0.596 0.000
6 Cl 0.091 0.591 0.500
7 Cl 0.309 0.309 0.000
8 Cl 0.409 0.909 0.500
9 Cl 0.500 0.500 0.000
10 Cl 0.591 0.091 0.500
11 Cl 0.691 0.691 0.000
12 Cl 0.909 0.409 0.500

Main lines, sorted by position (2θ = 10–80°):
d/Å  2θ (°)  Rel. int.
4.354  20.40  30
3.554  25.06  38
3.429  25.98  33
2.754  32.51  100
2.513  35.73  95
1.812  50.36  28
1.777  51.42  36
1.493  62.17  26

***

For Nd3CuIr8, a cell relaxed with PBE gives the simulated powder diffraction line list in this record (copper Kα).

Cell and atoms:
Cell lengths 9.300, 9.300, 9.300 Å; angles 33.71, 33.71, 33.71 degrees
Fractional positions:
1 Nd 0.000 0.000 0.000
2 Nd 0.129 0.129 0.129
3 Nd 0.514 0.514 0.514
4 Cu 0.645 0.645 0.645
5 Ir 0.065 0.566 0.566
6 Ir 0.068 0.068 0.569
7 Ir 0.068 0.569 0.068
8 Ir 0.316 0.316 0.316
9 Ir 0.566 0.065 0.566
10 Ir 0.566 0.566 0.065
11 Ir 0.569 0.068 0.068
12 Ir 0.817 0.817 0.817

Main lines, sorted by position (2θ = 10–80°):
d/Å  2θ (°)  Rel. int.
4.396  20.20  32
2.298  39.21  100
2.291  39.33  30
2.201  41.01  55
2.191  41.21  18
1.466  63.43  31
1.348  69.74  21
1.344  70.01  18

***

For Na5B7C3, a cell relaxed with PBE gives the simulated powder diffraction line list in this record (copper Kα).

Cell and atoms:
Cell lengths 7.693, 7.693, 10.353 Å; angles 122.06, 122.06, 37.86 degrees
Fractional positions:
1 Na 0.002 0.002 0.254
2 Na 0.199 0.197 0.745
3 Na 0.200 0.201 0.251
4 Na 0.397 0.402 0.748
5 Na 0.405 0.399 0.255
6 Na 0.598 0.603 0.252
7 Na 0.601 0.595 0.745
8 Na 0.799 0.800 0.749
9 Na 0.803 0.801 0.255
10 Na 0.998 0.998 0.746
11 B 0.035 0.365 0.500
12 B 0.168 0.832 0.000
13 B 0.168 0.832 0.500
14 B 0.231 0.556 0.499
15 B 0.231 0.568 0.000
16 B 0.368 0.044 0.000
17 B 0.432 0.769 0.000
18 B 0.444 0.769 0.501
19 B 0.571 0.211 0.000
20 B 0.635 0.965 0.500
21 B 0.789 0.429 0.000
22 B 0.817 0.183 0.000
23 B 0.818 0.182 0.500
24 B 0.956 0.632 0.000
25 C 0.042 0.362 0.000
26 C 0.376 0.031 0.501
27 C 0.566 0.231 0.499
28 C 0.638 0.958 0.000
29 C 0.769 0.434 0.501
30 C 0.969 0.624 0.499

Main lines, sorted by position (2θ = 10–80°):
d/Å  2θ (°)  Rel. int.
2.514  35.71  19
2.169  41.65  100
2.157  41.89  51
2.142  42.18  38
1.631  56.43  10
1.444  64.51  17
1.242  76.74  12
1.206  79.44  11

***

For Nb2P, a cell relaxed with PBE gives the simulated powder diffraction line list in this record (copper Kα).

Cell and atoms:
Cell lengths 18.082, 3.465, 13.940 Å; angles 90.00, 90.00, 90.00 degrees
Fractional positions:
1 Nb 0.000 0.000 0.000
2 Nb 0.000 0.500 0.500
3 Nb 0.001 0.000 0.338
4 Nb 0.062 0.500 0.156
5 Nb 0.120 0.500 0.930
6 Nb 0.143 0.000 0.496
7 Nb 0.162 0.000 0.738
8 Nb 0.165 0.000 0.259
9 Nb 0.250 0.000 0.939
10 Nb 0.250 0.500 0.113
11 Nb 0.250 0.500 0.383
12 Nb 0.250 0.500 0.612
13 Nb 0.335 0.000 0.259
14 Nb 0.338 0.000 0.738
15 Nb 0.357 0.000 0.496
16 Nb 0.380 0.500 0.930
17 Nb 0.438 0.500 0.156
18 Nb 0.499 0.000 0.338
19 Nb 0.500 0.000 0.000
20 Nb 0.500 0.500 0.500
21 Nb 0.501 0.000 0.662
22 Nb 0.562 0.500 0.844
23 Nb 0.620 0.500 0.070
24 Nb 0.643 0.000 0.504
25 Nb 0.662 0.000 0.262
26 Nb 0.665 0.000 0.741
27 Nb 0.750 0.000 0.061
28 Nb 0.750 0.500 0.388
29 Nb 0.750 0.500 0.617
30 Nb 0.750 0.500 0.887
31 Nb 0.835 0.000 0.741
32 Nb 0.838 0.000 0.262
33 Nb 0.857 0.000 0.504
34 Nb 0.880 0.500 0.070
35 Nb 0.938 0.500 0.844
36 Nb 0.999 0.000 0.662
37 P 0.045 0.000 0.829
38 P 0.104 0.500 0.364
39 P 0.104 0.500 0.628
40 P 0.144 0.000 0.068
41 P 0.250 0.500 0.810
42 P 0.356 0.000 0.068
43 P 0.396 0.500 0.364
44 P 0.396 0.500 0.628
45 P 0.455 0.000 0.829
46 P 0.545 0.000 0.171
47 P 0.604 0.500 0.372
48 P 0.604 0.500 0.636
49 P 0.644 0.000 0.932
50 P 0.750 0.500 0.190
51 P 0.856 0.000 0.932
52 P 0.896 0.500 0.372
53 P 0.896 0.500 0.636
54 P 0.955 0.000 0.171

Main lines, sorted by position (2θ = 10–80°):
d/Å  2θ (°)  Rel. int.
2.698  33.21  52
2.458  36.55  99
2.371  37.94  47
2.367  38.02  57
2.278  39.56  100
2.274  39.64  95
2.250  40.07  46
1.733  52.84  56